# 1
Starting from a GGA-PBE-relaxed structure, the powder X-ray diffraction pattern of Np2Ni4As3H2 was computed for a wavelength of 1.5418 Å.
Peak positions follow from Bragg's law for the DFT cell and can differ from measured ones.

Structure:
```
data_Np2Ni4As3H2
_symmetry_space_group_name_H-M 'I 4/m m m'
_symmetry_Int_Tables_number 139
_symmetry_space_group_name_Hall '-I 4 2'
_cell_length_a 3.5630
_cell_length_b 3.5630
_cell_length_c 22.3377
_cell_angle_alpha 90.00
_cell_angle_beta 90.00
_cell_angle_gamma 90.00
loop_
_atom_site_label
_atom_site_fract_x
_atom_site_fract_y
_atom_site_fract_z
Np1 0.0000 0.0000 0.2256
Ni1 0.0000 0.5000 0.0763
As1 0.0000 0.0000 0.3479
As2 0.0000 0.0000 0.5000
H1 0.0000 0.0000 0.0724
```

Most intense lines, 10 to 90 degrees two-theta, sorted by position:
(hkl), 2theta, I (rel.)
0 0 4, 15.87, 30
0 0 6, 23.90, 22
1 0 5, 32.13, 21
1 1 0, 35.64, 28
1 1 2, 36.56, 88
1 0 7, 37.85, 100
1 1 4, 39.23, 41
1 0 9, 44.49, 38
1 1 8, 48.68, 26
2 0 0, 51.28, 48
1 0 11, 51.82, 23
2 1 7, 65.47, 41


# 2
Starting from a GGA-PBE-relaxed structure, the powder X-ray diffraction pattern of NaThSnN was computed for a wavelength of 1.5418 Å.
Peak positions follow from Bragg's law for the DFT cell and can differ from measured ones.

Structure:
```
data_NaThSnN
_symmetry_space_group_name_H-M 'I 4 m m'
_symmetry_Int_Tables_number 107
_symmetry_space_group_name_Hall 'I 4 -2'
_cell_length_a 3.3501
_cell_length_b 3.3501
_cell_length_c 16.1626
_cell_angle_alpha 90.00
_cell_angle_beta 90.00
_cell_angle_gamma 90.00
loop_
_atom_site_label
_atom_site_fract_x
_atom_site_fract_y
_atom_site_fract_z
Na1 0.0000 0.0000 0.0000
Th1 0.0000 0.0000 0.3065
Sn1 0.0000 0.0000 0.6386
N1 0.0000 0.0000 0.8502
```

Most intense lines, 10 to 90 degrees two-theta, sorted by position:
(hkl), 2theta, I (rel.)
0 0 2, 10.95, 67
0 0 4, 22.00, 19
1 0 1, 27.18, 29
1 0 3, 31.45, 100
0 0 6, 33.26, 22
1 1 0, 37.98, 35
1 0 5, 38.71, 13
1 1 2, 39.65, 13
1 1 6, 51.36, 26
1 0 9, 58.30, 18
2 1 3, 64.56, 27
2 1 9, 84.15, 13


# 3
Starting from a GGA-PBE-relaxed structure, the powder X-ray diffraction pattern of Mo5W3 was computed for a wavelength of 1.5418 Å.
Peak positions follow from Bragg's law for the DFT cell and can differ from measured ones.

Structure:
```
data_Mo5W3
_symmetry_space_group_name_H-M 'I m -3 m'
_symmetry_Int_Tables_number 229
_symmetry_space_group_name_Hall '-I 4 2 3'
_cell_length_a 6.3475
_cell_length_b 6.3475
_cell_length_c 6.3475
_cell_angle_alpha 90.00
_cell_angle_beta 90.00
_cell_angle_gamma 90.00
loop_
_atom_site_label
_atom_site_fract_x
_atom_site_fract_y
_atom_site_fract_z
Mo1 0.0000 0.0000 0.0000
Mo2 0.2500 0.2500 0.2500
W1 0.0000 0.0000 0.5000
```

Most intense lines, 10 to 90 degrees two-theta, sorted by position:
(hkl), 2theta, I (rel.)
1 1 0, 19.78, 4
2 0 0, 28.12, 7
2 1 1, 34.61, 2
2 2 0, 40.18, 100
3 1 0, 45.17, 1
2 2 2, 49.76, 2
3 2 1, 54.06, 1
4 0 0, 58.13, 17
4 2 0, 65.80, 3
4 2 2, 73.02, 34
5 1 0, 76.53, 1
4 4 0, 86.79, 11